1.
For RbNaPdO2, a structure optimized by DFT (GGA-PBE) gives the theoretical PXRD pattern in this record (λ = 1.5418 Å (Cu Kα)).
Lines closer than 0.1° are merged.

Top 8 peaks for 10° ≤ 2θ ≤ 90°, low angle first:
d_spacing  2theta  intensity
5.027  17.6  52.6
3.986  22.3  32.3
3.275  27.2  100.0
2.641  33.9  40.4
2.476  36.3  30.7
2.346  38.4  52.0
2.338  38.5  39.5
1.988  45.6  27.1

```
data_RbNaPdO2
_chemical_formula_sum 'Rb2 Na2 Pd2 O4'
_cell_length_a 5.773
_cell_length_b 6.540
_cell_length_c 5.027
_cell_angle_alpha 90.00
_cell_angle_beta 90.00
_cell_angle_gamma 90.00
_symmetry_space_group_name_H-M 'P m m a'
_symmetry_Int_Tables_number 51
loop_
_symmetry_equiv_pos_as_xyz
'x,y,z'
'-x,-y,-z'
'-x+1/2,-y,z'
'x+1/2,y,-z'
'x+1/2,-y,-z'
'-x+1/2,y,z'
'-x,y,-z'
'x,-y,z'
loop_
_atom_site_label
_atom_site_type_symbol
_atom_site_fract_x
_atom_site_fract_y
_atom_site_fract_z
Rb1 Rb 0.250 0.000 0.237
Na1 Na 0.250 0.500 0.494
Pd1 Pd 0.000 0.500 0.000
O1 O 0.250 0.297 0.859
```

=====

2.
For NaPd2RhO4, a structure optimized by DFT (GGA-PBE) gives the theoretical PXRD pattern in this record (λ = 1.5418 Å (Cu Kα)).
Lines closer than 0.1° are merged.

Top 8 peaks for 10° ≤ 2θ ≤ 90°, low angle first:
d_spacing  2theta  intensity
4.295  20.7  27.2
2.787  32.1  53.4
2.561  35.0  100.0
2.338  38.5  11.1
1.971  46.0  27.5
1.562  59.1  51.5
1.442  64.7  15.4
1.280  74.0  12.2

```
data_NaPd2RhO4
_chemical_formula_sum 'Na2 Pd4 Rh2 O8'
_cell_length_a 5.575
_cell_length_b 5.575
_cell_length_c 6.737
_cell_angle_alpha 90.00
_cell_angle_beta 90.00
_cell_angle_gamma 90.00
_symmetry_space_group_name_H-M 'I -4 2 m'
_symmetry_Int_Tables_number 121
_symmetry_space_group_name_Hall 'I -4 2'
loop_
_atom_site_label
_atom_site_type_symbol
_atom_site_fract_x
_atom_site_fract_y
_atom_site_fract_z
Na1 Na 0.000 0.000 0.000
Pd1 Pd 0.000 0.500 0.250
Rh1 Rh 0.000 0.000 0.500
O1 O 0.174 0.174 0.714
```

=====

3.
For Na2PdRh2O6, a structure optimized by DFT (GGA-PBE) gives the theoretical PXRD pattern in this record (λ = 1.5418 Å (Cu Kα)).
Lines closer than 0.1° are merged.

Top 8 peaks for 10° ≤ 2θ ≤ 90°, low angle first:
d_spacing  2theta  intensity
5.363  16.5  100.0
2.681  33.4  15.5
2.670  33.6  35.5
2.566  35.0  35.1
2.246  40.2  66.4
1.752  52.2  16.9
1.615  57.0  12.8
1.562  59.2  13.5

```
data_Na2PdRh2O6
_chemical_formula_sum 'Na4 Pd2 Rh4 O12'
_cell_length_a 5.406
_cell_length_b 9.393
_cell_length_c 5.660
_cell_angle_alpha 90.00
_cell_angle_beta 108.64
_cell_angle_gamma 90.00
_symmetry_space_group_name_H-M 'C 1 2/m 1'
_symmetry_Int_Tables_number 12
loop_
_symmetry_equiv_pos_as_xyz
'x,y,z'
'-x,-y,-z'
'-x,y,-z'
'x,-y,z'
'x+1/2,y+1/2,z'
'-x+1/2,-y+1/2,-z'
'-x+1/2,y+1/2,-z'
'x+1/2,-y+1/2,z'
loop_
_atom_site_label
_atom_site_type_symbol
_atom_site_fract_x
_atom_site_fract_y
_atom_site_fract_z
Na1 Na 0.000 0.167 0.000
Pd1 Pd 0.000 0.000 0.500
Rh1 Rh 0.000 0.334 0.500
O1 O 0.229 0.169 0.690
O2 O 0.234 0.500 0.693
```

=====

4.
For NaPd2RuO6, a structure optimized by DFT (GGA-PBE) gives the theoretical PXRD pattern in this record (λ = 1.5418 Å (Cu Kα)).
Lines closer than 0.1° are merged.

Top 8 peaks for 10° ≤ 2θ ≤ 90°, low angle first:
d_spacing  2theta  intensity
4.388  20.2  27.6
3.894  22.8  73.2
2.864  31.2  93.0
2.655  33.8  100.0
1.947  46.6  36.0
1.797  50.8  74.0
1.570  58.8  33.3
1.533  60.4  33.9

```
data_NaPd2RuO6
_chemical_formula_sum 'Na3 Pd6 Ru3 O18'
_cell_length_a 5.3106
_cell_length_b 5.3106
_cell_length_c 14.6427
_cell_angle_alpha 90.00
_cell_angle_beta 90.00
_cell_angle_gamma 120.00
_symmetry_space_group_name_H-M 'R 3'
_symmetry_Int_Tables_number 146
_symmetry_space_group_name_Hall 'R 3'
loop_
_atom_site_label
_atom_site_type_symbol
_atom_site_fract_x
_atom_site_fract_y
_atom_site_fract_z
Na1 Na 0.0000 0.0000 0.0000
Pd1 Pd 0.0000 0.0000 0.2818
Pd2 Pd 0.0000 0.0000 0.7962
Ru1 Ru 0.0000 0.0000 0.4811
O1 O 0.0174 0.6820 0.5461
O2 O 0.0311 0.4018 0.0607
```

=====

5.
For NaPdSO6, a structure optimized by DFT (GGA-PBE) gives the theoretical PXRD pattern in this record (λ = 1.5418 Å (Cu Kα)).
Lines closer than 0.1° are merged.

Top 8 peaks for 10° ≤ 2θ ≤ 90°, low angle first:
d_spacing  2theta  intensity
5.168  17.2  96.6
4.259  20.9  41.2
3.287  27.1  100.0
2.459  36.5  25.4
2.220  40.6  36.3
1.969  46.1  21.7
1.781  51.3  47.0
1.537  60.2  22.7

```
data_NaPdSO6
_chemical_formula_sum 'Na1 Pd1 S1 O6'
_cell_length_a 4.9175
_cell_length_b 4.9175
_cell_length_c 5.1678
_cell_angle_alpha 90.00
_cell_angle_beta 90.00
_cell_angle_gamma 120.00
_symmetry_space_group_name_H-M 'P 3 1 2'
_symmetry_Int_Tables_number 149
loop_
_symmetry_equiv_pos_as_xyz
'x,y,z'
'-y,x-y,z'
'-x+y,-x,z'
'-y,-x,-z'
'-x+y,y,-z'
'x,x-y,-z'
loop_
_atom_site_label
_atom_site_type_symbol
_atom_site_fract_x
_atom_site_fract_y
_atom_site_fract_z
Na1 Na 0.0000 0.0000 0.0000
Pd1 Pd 0.3333 0.6667 0.5000
S1 S 0.6667 0.3333 0.5000
O1 O 0.3980 0.0516 0.6898
```

=====

6.
For NaPdSeO4, a structure optimized by DFT (GGA-PBE) gives the theoretical PXRD pattern in this record (λ = 1.5418 Å (Cu Kα)).
Lines closer than 0.1° are merged.

Top 8 peaks for 10° ≤ 2θ ≤ 90°, low angle first:
d_spacing  2theta  intensity
5.125  17.3  58.0
3.447  25.8  79.9
3.036  29.4  90.0
2.860  31.3  83.2
2.820  31.7  100.0
2.610  34.4  46.4
2.562  35.0  50.6
2.183  41.4  49.3

```
data_NaPdSeO4
_chemical_formula_sum 'Na4 Pd4 Se4 O16'
_cell_length_a 6.072
_cell_length_b 9.553
_cell_length_c 6.895
_cell_angle_alpha 90.00
_cell_angle_beta 90.00
_cell_angle_gamma 90.00
_symmetry_space_group_name_H-M 'C m c m'
_symmetry_Int_Tables_number 63
_symmetry_space_group_name_Hall '-C 2c 2'
loop_
_atom_site_label
_atom_site_type_symbol
_atom_site_fract_x
_atom_site_fract_y
_atom_site_fract_z
Na1 Na 0.000 0.000 0.000
Pd1 Pd 0.000 0.298 0.250
Se1 Se 0.000 0.357 0.750
O1 O 0.000 0.251 0.553
O2 O 0.222 0.463 0.750
```

=====

7.
For NaSi2PdO6, a structure optimized by DFT (GGA-PBE) gives the theoretical PXRD pattern in this record (λ = 1.5418 Å (Cu Kα)).
Lines closer than 0.1° are merged.

Top 8 peaks for 10° ≤ 2θ ≤ 90°, low angle first:
d_spacing  2theta  intensity
4.919  18.0  17.6
4.620  19.2  100.0
3.414  26.1  67.7
3.193  27.9  45.1
3.112  28.7  33.7
2.548  35.2  30.6
2.484  36.2  17.5
2.280  39.5  43.0

```
data_NaSi2PdO6
_chemical_formula_sum 'Na4 Si8 Pd4 O24'
_cell_length_a 10.418
_cell_length_b 9.481
_cell_length_c 5.396
_cell_angle_alpha 90.00
_cell_angle_beta 109.19
_cell_angle_gamma 90.00
_symmetry_space_group_name_H-M 'C 1 2/c 1'
_symmetry_Int_Tables_number 15
loop_
_symmetry_equiv_pos_as_xyz
'x,y,z'
'-x,-y,-z'
'-x,y,-z+1/2'
'x,-y,z+1/2'
'x+1/2,y+1/2,z'
'-x+1/2,-y+1/2,-z'
'-x+1/2,y+1/2,-z+1/2'
'x+1/2,-y+1/2,z+1/2'
loop_
_atom_site_label
_atom_site_type_symbol
_atom_site_fract_x
_atom_site_fract_y
_atom_site_fract_z
Na1 Na 0.000 0.096 0.250
Si1 Si 0.211 0.412 0.167
Pd1 Pd 0.000 0.269 0.750
O1 O 0.120 0.270 0.129
O2 O 0.126 0.106 0.689
O3 O 0.164 0.473 0.857
```

=====

8.
For NaSm2PdO5, a structure optimized by DFT (GGA-PBE) gives the theoretical PXRD pattern in this record (λ = 1.5418 Å (Cu Kα)).
Lines closer than 0.1° are merged.

Top 8 peaks for 10° ≤ 2θ ≤ 90°, low angle first:
d_spacing  2theta  intensity
5.831  15.2  38.6
4.741  18.7  36.1
2.998  29.8  24.2
2.909  30.7  100.0
2.666  33.6  60.5
2.090  43.3  45.1
1.993  45.5  31.3
1.566  59.0  16.5

```
data_NaSm2PdO5
_chemical_formula_sum 'Na2 Sm4 Pd2 O10'
_cell_length_a 6.705
_cell_length_b 6.705
_cell_length_c 5.831
_cell_angle_alpha 90.00
_cell_angle_beta 90.00
_cell_angle_gamma 90.00
_symmetry_space_group_name_H-M 'P 4/m b m'
_symmetry_Int_Tables_number 127
_symmetry_space_group_name_Hall '-P 4 2ab'
loop_
_atom_site_label
_atom_site_type_symbol
_atom_site_fract_x
_atom_site_fract_y
_atom_site_fract_z
Na1 Na 0.000 0.000 0.000
Sm1 Sm 0.174 0.326 0.500
Pd1 Pd 0.000 0.500 0.000
O1 O 0.000 0.000 0.500
O2 O 0.138 0.638 0.255
```

=====

9.
For NaSrPdO3, a structure optimized by DFT (GGA-PBE) gives the theoretical PXRD pattern in this record (λ = 1.5418 Å (Cu Kα)).
Lines closer than 0.1° are merged.

Top 8 peaks for 10° ≤ 2θ ≤ 90°, low angle first:
d_spacing  2theta  intensity
6.177  14.3  77.6
4.183  21.2  31.2
3.116  28.7  30.0
3.021  29.6  85.3
2.701  33.2  46.2
2.536  35.4  100.0
2.524  35.6  39.6
2.223  40.6  43.9

```
data_NaSrPdO3
_chemical_formula_sum 'Na4 Sr4 Pd4 O12'
_cell_length_a 5.313
_cell_length_b 12.353
_cell_length_c 5.686
_cell_angle_alpha 90.00
_cell_angle_beta 108.21
_cell_angle_gamma 90.00
_symmetry_space_group_name_H-M 'C 1 2/c 1'
_symmetry_Int_Tables_number 15
loop_
_symmetry_equiv_pos_as_xyz
'x,y,z'
'-x,-y,-z'
'-x,y,-z+1/2'
'x,-y,z+1/2'
'x+1/2,y+1/2,z'
'-x+1/2,-y+1/2,-z'
'-x+1/2,y+1/2,-z+1/2'
'x+1/2,-y+1/2,z+1/2'
loop_
_atom_site_label
_atom_site_type_symbol
_atom_site_fract_x
_atom_site_fract_y
_atom_site_fract_z
Na1 Na 0.000 0.244 0.250
Sr1 Sr 0.000 0.418 0.750
Pd1 Pd 0.000 0.070 0.750
O1 O 0.000 0.227 0.750
O2 O 0.207 0.070 0.501
```

=====

10.
For NaTbPd6O8, a structure optimized by DFT (GGA-PBE) gives the theoretical PXRD pattern in this record (λ = 1.5418 Å (Cu Kα)).
Lines closer than 0.1° are merged.

Top 8 peaks for 10° ≤ 2θ ≤ 90°, low angle first:
d_spacing  2theta  intensity
5.834  15.2  17.4
2.609  34.4  100.0
2.382  37.8  60.1
1.684  54.5  14.3
1.618  56.9  23.9
1.559  59.3  31.9
1.458  63.8  17.2
1.273  74.5  20.4

```
data_NaTbPd6O8
_chemical_formula_sum 'Na1 Tb1 Pd6 O8'
_cell_length_a 5.834
_cell_length_b 5.834
_cell_length_c 5.834
_cell_angle_alpha 90.00
_cell_angle_beta 90.00
_cell_angle_gamma 90.00
_symmetry_space_group_name_H-M 'P m -3'
_symmetry_Int_Tables_number 200
_symmetry_space_group_name_Hall '-P 2 2 3'
loop_
_atom_site_label
_atom_site_type_symbol
_atom_site_fract_x
_atom_site_fract_y
_atom_site_fract_z
Na1 Na 0.000 0.000 0.000
Tb1 Tb 0.500 0.500 0.500
Pd1 Pd 0.000 0.249 0.500
O1 O 0.259 0.259 0.259
```